For PmZrCoPt, the PBE geometry in Alexandria gives the simulated XRD peak list in this record (Cu Kα, 1.54184 Å).
Intensities are scaled so that the largest is 100.

Peak list (9 most intense, 15° ≤ 2θ ≤ 90°, by angle)
index	two_theta	d/Å	I_rel
1 1 1	22.63	3.930	19
2 2 0	37.37	2.407	100
3 1 1	44.13	2.052	10
4 0 0	53.87	1.702	17
3 3 1	59.16	1.562	5
4 2 2	67.40	1.389	35
5 1 1	72.10	1.310	4
4 4 0	79.68	1.203	11
5 3 1	84.14	1.151	4

```
data_PmZrCoPt
_chemical_formula_sum 'Pm4 Zr4 Co4 Pt4'
_space_group_name_H-M_alt 'F -4 3 m'
_space_group_IT_number 216
_space_group_name_Hall 'F -4 2 3'
_cell_length_a 6.8070
_cell_length_b 6.8070
_cell_length_c 6.8070
_cell_angle_alpha 90.00
_cell_angle_beta 90.00
_cell_angle_gamma 90.00
loop_
_atom_site_label
_atom_site_type_symbol
_atom_site_fract_x
_atom_site_fract_y
_atom_site_fract_z
_atom_site_occupancy
Pm1 Pm 0.0000 0.0000 0.0000 1
Zr1 Zr 0.0000 0.0000 0.5000 1
Co1 Co 0.2500 0.2500 0.2500 1
Pt1 Pt 0.2500 0.2500 0.7500 1
```